Li2MnWO6: theoretical powder X-ray diffraction pattern (Cu Kα (weighted mean of Kα1 and Kα2)), based on DFT lattice parameters and positions (PBE+U).
Peak positions follow from Bragg's law for the DFT cell and can differ from measured ones.

Atomic structure:
Lattice parameters (Å, degrees): 5.3367 5.3367 5.3367 56.97 56.97 56.97
Fractional coordinates of all 10 atoms:
1 Li 0.0000 0.0000 0.0000
2 Li 0.5001 0.5001 0.5001
3 Mn 0.2167 0.2167 0.2167
4 W 0.7164 0.7164 0.7164
5 O 0.0830 0.8466 0.4522
6 O 0.3450 0.5798 0.9569
7 O 0.4521 0.0830 0.8466
8 O 0.5798 0.9569 0.3450
9 O 0.8466 0.4522 0.0830
10 O 0.9569 0.3450 0.5798

Top 6 peaks for 2θ = 15–90°, sorted by position:
- 21.2 deg, d = 4.186 Å, I = 33
- 24.2 deg, d = 3.680 Å, I = 100
- 33.7 deg, d = 2.663 Å, I = 37
- 35.3 deg, d = 2.545 Å, I = 25
- 49.5 deg, d = 1.840 Å, I = 18
- 54.8 deg, d = 1.676 Å, I = 26



Li2Mn3WO8: theoretical powder X-ray diffraction pattern (Cu Kα (weighted mean of Kα1 and Kα2)), based on DFT lattice parameters and positions (PBE+U).
Peak positions follow from Bragg's law for the DFT cell and can differ from measured ones.

Atomic structure:
Lattice parameters (Å, degrees): 6.0512 6.0512 9.8904 90.00 90.00 120.00
Fractional coordinates of all 28 atoms:
1 Li 0.0000 0.0000 0.0000
2 Li 0.0000 0.0000 0.5000
3 Li 0.3333 0.6667 0.4211
4 Li 0.6667 0.3333 0.9211
5 Mn 0.1704 0.3407 0.7280
6 Mn 0.1704 0.8296 0.7280
7 Mn 0.3407 0.1704 0.2280
8 Mn 0.6593 0.8296 0.7280
9 Mn 0.8296 0.1704 0.2280
10 Mn 0.8296 0.6593 0.2280
11 W 0.3333 0.6667 0.0007
12 W 0.6667 0.3333 0.5007
13 O 0.0000 0.0000 0.3100
14 O 0.0000 0.0000 0.8100
15 O 0.0396 0.5198 0.8706
16 O 0.1735 0.3470 0.1008
17 O 0.1735 0.8265 0.1008
18 O 0.3333 0.6667 0.6294
19 O 0.3470 0.1735 0.6008
20 O 0.4802 0.5198 0.8706
21 O 0.4802 0.9604 0.8706
22 O 0.5198 0.0396 0.3706
23 O 0.5198 0.4802 0.3706
24 O 0.6530 0.8265 0.1008
25 O 0.6667 0.3333 0.1294
26 O 0.8265 0.1735 0.6008
27 O 0.8265 0.6530 0.6008
28 O 0.9604 0.4802 0.3706

Top 6 peaks for 2θ = 15–90°, sorted by position:
- 19.2 deg, d = 4.631 Å, I = 100
- 24.8 deg, d = 3.597 Å, I = 29
- 32.1 deg, d = 2.791 Å, I = 35
- 34.8 deg, d = 2.581 Å, I = 43
- 35.4 deg, d = 2.533 Å, I = 23
- 44.2 deg, d = 2.051 Å, I = 19



Li2Mn3WO8: theoretical powder X-ray diffraction pattern (Cu Kα (weighted mean of Kα1 and Kα2)), based on DFT lattice parameters and positions (PBE+U).
Peak positions follow from Bragg's law for the DFT cell and can differ from measured ones.

Atomic structure:
Lattice parameters (Å, degrees): 8.5109 8.5221 9.0992 90.00 90.00 90.00
Fractional coordinates of all 56 atoms:
1 Li 0.0022 0.0103 0.4995
2 Li 0.2461 0.2511 0.7526
3 Li 0.2539 0.7489 0.2526
4 Li 0.4978 0.9897 0.9995
5 Li 0.5022 0.4897 0.5005
6 Li 0.7461 0.2489 0.2474
7 Li 0.7539 0.7511 0.7474
8 Li 0.9978 0.5103 0.0005
9 Mn 0.1210 0.3711 0.3799
10 Mn 0.1279 0.8641 0.8748
11 Mn 0.1303 0.6058 0.6357
12 Mn 0.3697 0.3942 0.1357
13 Mn 0.3721 0.1359 0.3748
14 Mn 0.3790 0.6289 0.8799
15 Mn 0.6210 0.1289 0.6201
16 Mn 0.6279 0.6359 0.1252
17 Mn 0.6303 0.8942 0.3643
18 Mn 0.8697 0.1058 0.8643
19 Mn 0.8721 0.3641 0.6252
20 Mn 0.8790 0.8711 0.1201
21 W 0.1285 0.1244 0.1170
22 W 0.3715 0.8756 0.6170
23 W 0.6285 0.3756 0.8830
24 W 0.8715 0.6244 0.3830
25 O 0.0960 0.3641 0.6163
26 O 0.1060 0.6031 0.3789
27 O 0.1117 0.8919 0.1312
28 O 0.1173 0.3463 0.1164
29 O 0.1278 0.1038 0.9044
30 O 0.1345 0.1387 0.3456
31 O 0.1489 0.8806 0.6297
32 O 0.1501 0.6371 0.8679
33 O 0.3499 0.3629 0.3679
34 O 0.3511 0.1194 0.1297
35 O 0.3655 0.8613 0.8456
36 O 0.3722 0.8962 0.4044
37 O 0.3827 0.6537 0.6164
38 O 0.3883 0.1081 0.6312
39 O 0.3940 0.3969 0.8789
40 O 0.4040 0.6359 0.1163
41 O 0.5960 0.1359 0.3837
42 O 0.6060 0.8969 0.6211
43 O 0.6117 0.6081 0.8688
44 O 0.6173 0.1537 0.8836
45 O 0.6278 0.3962 0.0956
46 O 0.6345 0.3613 0.6544
47 O 0.6489 0.6194 0.3703
48 O 0.6501 0.8629 0.1321
49 O 0.8499 0.1371 0.6321
50 O 0.8511 0.3806 0.8703
51 O 0.8655 0.6387 0.1544
52 O 0.8722 0.6038 0.5956
53 O 0.8827 0.8463 0.3836
54 O 0.8883 0.3919 0.3688
55 O 0.8940 0.1031 0.1211
56 O 0.9040 0.8641 0.8837

Top 6 peaks for 2θ = 15–90°, sorted by position:
- 17.7 deg, d = 5.022 Å, I = 100
- 33.1 deg, d = 2.709 Å, I = 24
- 34.7 deg, d = 2.582 Å, I = 33
- 35.8 deg, d = 2.511 Å, I = 25
- 42.5 deg, d = 2.129 Å, I = 33
- 59.5 deg, d = 1.554 Å, I = 21



Li3Mn3WO8: theoretical powder X-ray diffraction pattern (Cu Kα (weighted mean of Kα1 and Kα2)), based on DFT lattice parameters and positions (PBE+U).
Peak positions follow from Bragg's law for the DFT cell and can differ from measured ones.

Atomic structure:
Lattice parameters (Å, degrees): 6.1064 6.1064 6.1064 62.02 62.02 62.02
Fractional coordinates of all 15 atoms:
1 Li 0.0000 0.5000 0.5000
2 Li 0.5000 0.0000 0.5000
3 Li 0.5000 0.5000 0.0000
4 Mn 0.0000 0.0000 0.5000
5 Mn 0.0000 0.5000 0.0000
6 Mn 0.5000 0.0000 0.0000
7 W 0.5000 0.5000 0.5000
8 O 0.2340 0.2340 0.2340
9 O 0.2763 0.2763 0.7177
10 O 0.2763 0.7177 0.2763
11 O 0.2823 0.7237 0.7237
12 O 0.7177 0.2763 0.2763
13 O 0.7237 0.2823 0.7237
14 O 0.7237 0.7237 0.2823
15 O 0.7660 0.7660 0.7660

Top 6 peaks for 2θ = 15–90°, sorted by position:
- 17.4 deg, d = 5.110 Å, I = 51
- 18.1 deg, d = 4.908 Å, I = 100
- 20.3 deg, d = 4.380 Å, I = 25
- 33.4 deg, d = 2.679 Å, I = 53
- 35.1 deg, d = 2.555 Å, I = 25
- 41.2 deg, d = 2.190 Å, I = 65



Li9Mn3W7O28: theoretical powder X-ray diffraction pattern (Cu Kα (weighted mean of Kα1 and Kα2)), based on DFT lattice parameters and positions (PBE+U).
Peak positions follow from Bragg's law for the DFT cell and can differ from measured ones.

Atomic structure:
Lattice parameters (Å, degrees): 8.5910 8.5910 8.5910 89.96 89.96 89.96
Fractional coordinates of all 47 atoms:
1 Li 0.0079 0.2681 0.7240
2 Li 0.0079 0.7240 0.2681
3 Li 0.2681 0.0079 0.7240
4 Li 0.2681 0.7240 0.0079
5 Li 0.4574 0.7183 0.7183
6 Li 0.7183 0.4574 0.7183
7 Li 0.7183 0.7183 0.4574
8 Li 0.7240 0.0079 0.2681
9 Li 0.7240 0.2681 0.0079
10 Mn 0.0047 0.0047 0.4589
11 Mn 0.0047 0.4589 0.0047
12 Mn 0.4589 0.0047 0.0047
13 W 0.0054 0.7228 0.7228
14 W 0.0062 0.0062 0.0062
15 W 0.3675 0.3675 0.8608
16 W 0.3675 0.8608 0.3675
17 W 0.7228 0.0054 0.7228
18 W 0.7228 0.7228 0.0054
19 W 0.8608 0.3675 0.3675
20 O 0.2141 0.7466 0.7466
21 O 0.2227 0.9763 0.9763
22 O 0.2441 0.2441 0.7439
23 O 0.2441 0.7439 0.2441
24 O 0.2454 0.4919 0.9837
25 O 0.2454 0.9837 0.4919
26 O 0.4881 0.4881 0.7396
27 O 0.4881 0.7396 0.4881
28 O 0.4919 0.2454 0.9837
29 O 0.4919 0.9837 0.2454
30 O 0.5110 0.7495 0.9796
31 O 0.5110 0.9796 0.7495
32 O 0.7396 0.4881 0.4881
33 O 0.7439 0.2441 0.2441
34 O 0.7466 0.2141 0.7466
35 O 0.7466 0.7466 0.2141
36 O 0.7495 0.5110 0.9796
37 O 0.7495 0.9796 0.5110
38 O 0.7499 0.9725 0.9725
39 O 0.7567 0.7567 0.7567
40 O 0.9725 0.7499 0.9725
41 O 0.9725 0.9725 0.7499
42 O 0.9763 0.2227 0.9763
43 O 0.9763 0.9763 0.2227
44 O 0.9796 0.5110 0.7495
45 O 0.9796 0.7495 0.5110
46 O 0.9837 0.2454 0.4919
47 O 0.9837 0.4919 0.2454

Top 6 peaks for 2θ = 15–90°, sorted by position:
- 17.9 deg, d = 4.961 Å, I = 100
- 25.4 deg, d = 3.507 Å, I = 63
- 31.2 deg, d = 2.864 Å, I = 81
- 33.0 deg, d = 2.717 Å, I = 32
- 43.4 deg, d = 2.084 Å, I = 31
- 46.1 deg, d = 1.971 Å, I = 36



Na3LiMo2O8: theoretical powder X-ray diffraction pattern (Cu Kα (weighted mean of Kα1 and Kα2)), based on DFT lattice parameters and positions (PBE+U).
Peak positions follow from Bragg's law for the DFT cell and can differ from measured ones.

Atomic structure:
Lattice parameters (Å, degrees): 8.5525 8.5525 8.9003 118.27 118.27 64.94
Fractional coordinates of all 28 atoms:
1 Na 0.0178 0.9822 0.5000
2 Na 0.1760 0.5091 0.5212
3 Na 0.5070 0.6857 0.5144
4 Na 0.5091 0.1760 0.0212
5 Na 0.6857 0.5070 0.0144
6 Na 0.9822 0.0178 0.0000
7 Li 0.4089 0.8990 0.2594
8 Li 0.8990 0.4089 0.7594
9 Mo 0.1233 0.6165 0.1256
10 Mo 0.3437 0.8364 0.8317
11 Mo 0.6165 0.1233 0.6256
12 Mo 0.8364 0.3437 0.3317
13 O 0.1051 0.8445 0.7520
14 O 0.1778 0.6670 0.3644
15 O 0.1968 0.7854 0.1225
16 O 0.2335 0.3887 0.0182
17 O 0.3612 0.9635 0.7299
18 O 0.3887 0.2335 0.5182
19 O 0.4362 0.9350 0.0752
20 O 0.4739 0.6033 0.7540
21 O 0.6033 0.4739 0.2540
22 O 0.6250 0.8831 0.4940
23 O 0.6670 0.1778 0.8644
24 O 0.7854 0.1968 0.6225
25 O 0.8445 0.1051 0.2520
26 O 0.8831 0.6250 0.9940
27 O 0.9350 0.4362 0.5752
28 O 0.9635 0.3612 0.2299

Top 6 peaks for 2θ = 15–90°, sorted by position:
- 19.3 deg, d = 4.592 Å, I = 74
- 19.9 deg, d = 4.469 Å, I = 91
- 20.0 deg, d = 4.440 Å, I = 61
- 20.9 deg, d = 4.260 Å, I = 100
- 28.0 deg, d = 3.192 Å, I = 42
- 34.1 deg, d = 2.627 Å, I = 31